1.
The following is a calculated XRD peak list of Er3ClO4. It was derived from a structure optimized by DFT (PBE), using CuKα.

Atomic structure:
```
Er3ClO4
1.0
1.991 -5.750 0.000
1.991 5.750 0.000
0.000 0.000 11.495
Er Cl O
6 2 8
direct
0.124 0.876 0.750 Er
0.180 0.820 0.101 Er
0.180 0.820 0.399 Er
0.820 0.180 0.601 Er
0.820 0.180 0.899 Er
0.876 0.124 0.250 Er
0.500 0.500 0.000 Cl
0.500 0.500 0.500 Cl
0.061 0.939 0.250 O
0.232 0.768 0.589 O
0.232 0.768 0.911 O
0.302 0.698 0.250 O
0.698 0.302 0.750 O
0.768 0.232 0.089 O
0.768 0.232 0.411 O
0.939 0.061 0.750 O
```

Main lines, in order of rising 2θ (15 to 90 degrees two-theta):
- 2θ 15.4, d = 5.750 Å, intensity 53
- 2θ 23.6, d = 3.762 Å, intensity 48
- 2θ 28.0, d = 3.188 Å, intensity 90
- 2θ 32.4, d = 2.761 Å, intensity 83
- 2θ 33.4, d = 2.685 Å, intensity 100
- 2θ 45.6, d = 1.991 Å, intensity 35

***

2.
The following is a calculated XRD peak list of Ho3In3AgPdPt. It was derived from a structure optimized by DFT (PBE), using CuKα.

Atomic structure:
```
Ho3In3AgPdPt
1.0
7.798 0.000 0.000
-3.899 6.753 0.000
0.000 0.000 3.784
Ho In Ag Pd Pt
3 3 1 1 1
direct
0.082 0.343 0.000 Ho
0.261 0.918 0.000 Ho
0.657 0.739 0.000 Ho
0.395 0.326 0.500 In
0.674 0.069 0.500 In
0.931 0.605 0.500 In
0.667 0.333 0.000 Ag
0.000 0.000 0.500 Pd
0.333 0.667 0.500 Pt
```

Main lines, in order of rising 2θ (15 to 90 degrees two-theta):
- 2θ 33.0, d = 2.715 Å, intensity 100
- 2θ 35.2, d = 2.552 Å, intensity 44
- 2θ 35.6, d = 2.519 Å, intensity 95
- 2θ 40.1, d = 2.251 Å, intensity 48
- 2θ 42.7, d = 2.116 Å, intensity 25
- 2θ 65.1, d = 1.434 Å, intensity 34

***

3.
The following is a calculated XRD peak list of Hf4Hg2CN. It was derived from a structure optimized by DFT (PBE), using CuKα.

Atomic structure:
```
Hf4Hg2CN
1.0
3.294 0.000 0.000
-1.647 2.853 0.000
0.000 0.000 14.568
Hf Hg C N
4 2 1 1
direct
0.333 0.667 0.085 Hf
0.333 0.667 0.418 Hf
0.667 0.333 0.582 Hf
0.667 0.333 0.915 Hf
0.333 0.667 0.748 Hg
0.667 0.333 0.252 Hg
0.000 0.000 0.000 C
0.000 0.000 0.500 N
```

Main lines, in order of rising 2θ (15 to 90 degrees two-theta):
- 2θ 31.4, d = 2.853 Å, intensity 23
- 2θ 36.5, d = 2.460 Å, intensity 100
- 2θ 37.0, d = 2.428 Å, intensity 20
- 2θ 55.8, d = 1.647 Å, intensity 21
- 2θ 66.4, d = 1.408 Å, intensity 18
- 2θ 68.9, d = 1.363 Å, intensity 21

***

4.
The following is a calculated XRD peak list of Y2Ho2CI2Br2Cl. It was derived from a structure optimized by DFT (PBE), using CuKα.

Atomic structure:
```
Y2Ho2CI2Br2Cl
1.0
9.324 -1.924 0.000
9.324 1.924 0.000
-1.700 0.000 7.823
Y Ho C I Br Cl
2 2 1 2 2 1
direct
0.000 0.000 0.207 Y
0.000 0.000 0.793 Y
0.369 0.369 0.930 Ho
0.631 0.631 0.070 Ho
0.500 0.500 0.000 C
0.170 0.170 0.809 I
0.830 0.830 0.191 I
0.158 0.158 0.338 Br
0.842 0.842 0.662 Br
0.500 0.500 0.500 Cl
```

Main lines, in order of rising 2θ (15 to 90 degrees two-theta):
- 2θ 25.8, d = 3.452 Å, intensity 21
- 2θ 29.4, d = 3.037 Å, intensity 37
- 2θ 32.3, d = 2.774 Å, intensity 100
- 2θ 33.3, d = 2.694 Å, intensity 25
- 2θ 33.9, d = 2.646 Å, intensity 32
- 2θ 44.2, d = 2.048 Å, intensity 41

***

5.
The following is a calculated XRD peak list of HoNbN2O. It was derived from a structure optimized by DFT (PBE), using CuKα.

Atomic structure:
```
HoNbN2O
1.0
7.892 0.000 0.000
0.021 7.898 0.000
0.367 0.008 7.954
Ho Nb N O
8 8 16 8
direct
0.000 0.000 0.000 Ho
0.016 0.995 0.475 Ho
0.429 0.498 0.934 Ho
0.449 0.501 0.424 Ho
0.508 0.000 0.491 Ho
0.525 0.003 0.978 Ho
0.940 0.503 0.437 Ho
0.959 0.501 0.918 Ho
0.212 0.247 0.715 Nb
0.229 0.238 0.222 Nb
0.229 0.765 0.720 Nb
0.245 0.765 0.208 Nb
0.718 0.744 0.722 Nb
0.720 0.733 0.207 Nb
0.734 0.255 0.716 Nb
0.737 0.257 0.216 Nb
0.150 0.999 0.741 N
0.174 0.688 0.955 N
0.182 0.310 0.950 N
0.270 0.002 0.132 N
0.277 0.801 0.452 N
0.289 0.193 0.451 N
0.477 0.808 0.756 N
0.480 0.690 0.148 N
0.670 0.303 0.451 N
0.681 0.698 0.449 N
0.689 0.498 0.773 N
0.774 0.186 0.949 N
0.784 0.815 0.948 N
0.807 0.500 0.167 N
0.978 0.191 0.256 N
0.980 0.309 0.649 N
0.189 0.500 0.287 O
0.315 0.494 0.670 O
0.478 0.318 0.147 O
0.480 0.176 0.753 O
0.643 0.004 0.237 O
0.768 0.998 0.616 O
0.977 0.822 0.253 O
0.982 0.682 0.649 O
```

Main lines, in order of rising 2θ (15 to 90 degrees two-theta):
- 2θ 31.2, d = 2.867 Å, intensity 39
- 2θ 31.9, d = 2.802 Å, intensity 100
- 2θ 32.1, d = 2.790 Å, intensity 95
- 2θ 32.7, d = 2.737 Å, intensity 46
- 2θ 46.0, d = 1.973 Å, intensity 39
- 2θ 57.6, d = 1.601 Å, intensity 21

***

6.
The following is a calculated XRD peak list of CuAg. It was derived from a structure optimized by DFT (PBE), using CuKα.

Atomic structure:
```
CuAg
1.0
1.406 0.811 21.947
-1.406 0.811 21.947
0.000 -1.623 21.947
Cu Ag
5 5
direct
0.000 0.000 0.000 Cu
0.096 0.096 0.096 Cu
0.192 0.192 0.192 Cu
0.696 0.696 0.696 Cu
0.792 0.792 0.792 Cu
0.300 0.300 0.300 Ag
0.396 0.396 0.396 Ag
0.492 0.492 0.492 Ag
0.596 0.596 0.596 Ag
0.892 0.892 0.892 Ag
```

Main lines, in order of rising 2θ (15 to 90 degrees two-theta):
- 2θ 39.5, d = 2.283 Å, intensity 100
- 2θ 41.1, d = 2.195 Å, intensity 23
- 2θ 46.4, d = 1.957 Å, intensity 56
- 2θ 66.5, d = 1.406 Å, intensity 20
- 2θ 80.2, d = 1.197 Å, intensity 11
- 2θ 81.3, d = 1.184 Å, intensity 17

***

7.
The following is a calculated XRD peak list of YTmS2Br2. It was derived from a structure optimized by DFT (PBE), using CuKα.

Atomic structure:
```
YTmS2Br2
1.0
4.034 0.000 0.000
0.000 5.336 0.000
0.000 0.000 9.072
Y Tm S Br
1 1 2 2
direct
0.000 0.000 0.000 Y
0.500 0.500 0.253 Tm
0.000 0.500 0.054 S
0.500 0.000 0.206 S
0.000 0.500 0.466 Br
0.500 0.000 0.781 Br
```

Main lines, in order of rising 2θ (15 to 90 degrees two-theta):
- 2θ 19.3, d = 4.599 Å, intensity 100
- 2θ 29.5, d = 3.033 Å, intensity 39
- 2θ 29.6, d = 3.014 Å, intensity 86
- 2θ 33.6, d = 2.668 Å, intensity 34
- 2θ 41.0, d = 2.204 Å, intensity 43
- 2θ 45.4, d = 1.998 Å, intensity 52

***

8.
The following is a calculated XRD peak list of DyY2In3CuGe2. It was derived from a structure optimized by DFT (PBE), using CuKα.

Atomic structure:
```
DyY2In3CuGe2
1.0
4.225 0.000 0.000
0.000 6.412 3.704
0.000 -6.412 3.704
Dy Y In Cu Ge
1 2 3 1 2
direct
0.000 0.000 0.000 Dy
0.000 0.197 0.598 Y
0.000 0.598 0.197 Y
0.500 0.356 0.356 In
0.500 0.598 0.842 In
0.500 0.842 0.598 In
0.000 0.600 0.600 Cu
0.500 0.264 0.932 Ge
0.500 0.932 0.264 Ge
```

Main lines, in order of rising 2θ (15 to 90 degrees two-theta):
- 2θ 32.1, d = 2.785 Å, intensity 100
- 2θ 35.1, d = 2.554 Å, intensity 70
- 2θ 37.1, d = 2.424 Å, intensity 54
- 2θ 42.8, d = 2.112 Å, intensity 27
- 2θ 43.0, d = 2.103 Å, intensity 28
- 2θ 57.9, d = 1.593 Å, intensity 29